Starting from a crystal structure in Alexandria, relaxed with PBE+U, the powder diffractogram of Tm3Tl3VO8 was simulated for CuKα.
Peak positions follow from Bragg's law for the DFT cell and can differ from measured ones.

Cell and atoms:
```
data_Tm3Tl3VO8
_cell_length_a 6.6561
_cell_length_b 6.6561
_cell_length_c 7.5977
_cell_angle_alpha 116.13
_cell_angle_beta 116.13
_cell_angle_gamma 60.16
_space_group_name_H-M_alt 'P 1'
_space_group_IT_number 1
loop_
_space_group_symop_operation_xyz
'x,y,z'
loop_
_atom_site_label
_atom_site_type_symbol
_atom_site_fract_x
_atom_site_fract_y
_atom_site_fract_z
Tm1 Tm 0.0000 0.0000 0.0000
Tm2 Tm 0.0000 0.5000 0.0000
Tm3 Tm 0.5000 0.0000 0.0000
Tl1 Tl 0.0000 0.5000 0.5000
Tl2 Tl 0.5000 0.0000 0.5000
Tl3 Tl 0.5000 0.5000 0.5000
V1 V 0.5000 0.5000 0.0000
O1 O 0.2229 0.2229 0.1667
O2 O 0.2492 0.7057 0.1599
O3 O 0.2943 0.7508 0.8401
O4 O 0.2976 0.2976 0.8426
O5 O 0.7024 0.7024 0.1574
O6 O 0.7057 0.2492 0.1599
O7 O 0.7508 0.2943 0.8401
O8 O 0.7771 0.7771 0.8333
```

The 10 most intense peaks (10° ≤ 2θ ≤ 90°), most intense first:
| d [Å] | 2θ/deg | intensity |
| --- | --- | --- |
| 2.767 | 32.35 | 100.0 |
| 2.490 | 36.07 | 73.5 |
| 3.270 | 27.27 | 58.1 |
| 4.973 | 17.84 | 38.4 |
| 2.479 | 36.24 | 36.2 |
| 1.867 | 48.77 | 27.3 |
| 1.486 | 62.52 | 23.8 |
| 1.664 | 55.20 | 22.0 |
| 1.624 | 56.67 | 19.3 |
| 3.737 | 23.81 | 18.9 |